1.
Diffraction record for K5SeCl2O4. The PXRD pattern is computed, not measured: it uses a DFT-relaxed cell (GGA-PBE, Alexandria) and λ = 1.5418 Å (Cu Kα).
Intensities are scaled so that the largest is 100.

Crystal structure
abc: 8.430 6.120 6.120
angles: 113.47 90.00 90.00
Fractional coordinates of all 12 atoms:
1 K 0.000 0.000 0.000
2 K 0.292 0.226 0.594
3 K 0.292 0.594 0.226
4 K 0.708 0.226 0.594
5 K 0.708 0.594 0.226
6 Se 0.500 0.923 0.923
7 Cl 0.000 0.468 0.875
8 Cl 0.000 0.875 0.468
9 O 0.329 0.086 0.086
10 O 0.500 0.615 0.901
11 O 0.500 0.901 0.615
12 O 0.671 0.086 0.086

Most intense lines, 2θ from 10° to 90°, in order of rising 2θ:
8.430 Å, I = 20; 5.614 Å, I = 33; 3.371 Å, I = 96; 3.357 Å, I = 19; 3.253 Å, I = 22; 3.119 Å, I = 30; 3.042 Å, I = 100; 2.465 Å, I = 24; 2.336 Å, I = 74; 1.776 Å, I = 23


2.
Diffraction record for Li4PrCd12. The PXRD pattern is computed, not measured: it uses a DFT-relaxed cell (GGA-PBE, Alexandria) and λ = 1.5418 Å (Cu Kα).
Intensities are scaled so that the largest is 100.

Crystal structure
abc: 8.126 8.126 8.126
angles: 109.47 109.47 109.47
Fractional coordinates of all 17 atoms:
1 Li 0.000 0.000 0.500
2 Li 0.000 0.500 0.000
3 Li 0.500 0.000 0.000
4 Li 0.500 0.500 0.500
5 Pr 0.000 0.000 0.000
6 Cd 0.158 0.503 0.345
7 Cd 0.158 0.814 0.655
8 Cd 0.186 0.345 0.842
9 Cd 0.345 0.158 0.503
10 Cd 0.345 0.842 0.186
11 Cd 0.497 0.655 0.842
12 Cd 0.503 0.345 0.158
13 Cd 0.655 0.158 0.814
14 Cd 0.655 0.842 0.497
15 Cd 0.814 0.655 0.158
16 Cd 0.842 0.186 0.345
17 Cd 0.842 0.497 0.655

Most intense lines, 2θ from 10° to 90°, in order of rising 2θ:
2.967 Å, I = 100; 2.508 Å, I = 43; 1.915 Å, I = 10; 1.840 Å, I = 31; 1.609 Å, I = 10; 1.564 Å, I = 19; 1.383 Å, I = 16; 1.232 Å, I = 9; 1.106 Å, I = 7; 1.091 Å, I = 10


3.
Diffraction record for CeHo3Ru4. The PXRD pattern is computed, not measured: it uses a DFT-relaxed cell (GGA-PBE, Alexandria) and λ = 1.5418 Å (Cu Kα).
Intensities are scaled so that the largest is 100.

Crystal structure
abc: 5.886 5.886 5.886
angles: 109.47 109.47 109.47
Fractional coordinates of all 8 atoms:
1 Ce 0.000 0.000 0.000
2 Ho 0.000 0.500 0.500
3 Ho 0.500 0.000 0.500
4 Ho 0.500 0.500 0.000
5 Ru 0.000 0.000 0.500
6 Ru 0.000 0.500 0.000
7 Ru 0.500 0.000 0.000
8 Ru 0.500 0.500 0.500

Most intense lines, 2θ from 10° to 90°, in order of rising 2θ:
3.398 Å, I = 5; 2.403 Å, I = 100; 1.962 Å, I = 2; 1.699 Å, I = 17; 1.520 Å, I = 2; 1.387 Å, I = 35; 1.201 Å, I = 11; 1.133 Å, I = 1


4.
Diffraction record for Ti3TlH. The PXRD pattern is computed, not measured: it uses a DFT-relaxed cell (GGA-PBE, Alexandria) and λ = 1.5418 Å (Cu Kα).
Intensities are scaled so that the largest is 100.

Crystal structure
abc: 4.880 6.390 4.895
angles: 90.00 97.17 90.00
Fractional coordinates of all 10 atoms:
1 Ti 0.000 0.000 0.000
2 Ti 0.022 0.237 0.516
3 Ti 0.022 0.763 0.516
4 Ti 0.506 0.241 0.984
5 Ti 0.506 0.759 0.984
6 Ti 0.526 0.000 0.519
7 Tl 0.008 0.500 0.013
8 Tl 0.518 0.500 0.489
9 H 0.377 0.000 0.145
10 H 0.849 0.000 0.337

Most intense lines, 2θ from 10° to 90°, in order of rising 2θ:
6.390 Å, I = 91; 3.665 Å, I = 29; 3.195 Å, I = 22; 3.179 Å, I = 45; 2.885 Å, I = 36; 2.428 Å, I = 51; 2.421 Å, I = 51; 2.408 Å, I = 100; 2.272 Å, I = 100; 1.334 Å, I = 29


5.
Diffraction record for Pr2NdTm2Th2. The PXRD pattern is computed, not measured: it uses a DFT-relaxed cell (GGA-PBE, Alexandria) and λ = 1.5418 Å (Cu Kα).
Intensities are scaled so that the largest is 100.

Crystal structure
abc: 8.987 8.987 9.040
angles: 118.39 118.39 21.73
Fractional coordinates of all 7 atoms:
1 Pr 0.206 0.206 0.124
2 Pr 0.794 0.794 0.876
3 Nd 0.500 0.500 0.000
4 Tm 0.350 0.350 0.573
5 Tm 0.650 0.650 0.427
6 Th 0.433 0.433 0.299
7 Th 0.567 0.567 0.701

Most intense lines, 2θ from 10° to 90°, in order of rising 2θ:
3.310 Å, I = 80; 3.173 Å, I = 33; 2.974 Å, I = 100; 2.952 Å, I = 93; 2.890 Å, I = 90; 2.465 Å, I = 47; 2.380 Å, I = 43; 2.251 Å, I = 28; 2.175 Å, I = 25; 1.462 Å, I = 35


6.
Diffraction record for LiMo2Ir. The PXRD pattern is computed, not measured: it uses a DFT-relaxed cell (GGA-PBE, Alexandria) and λ = 1.5418 Å (Cu Kα).
Intensities are scaled so that the largest is 100.

Crystal structure
abc: 2.694 2.694 9.058
angles: 90.00 90.00 111.18
Fractional coordinates of all 4 atoms:
1 Li 0.000 0.000 0.000
2 Mo 0.000 0.000 0.517
3 Mo 0.500 0.500 0.269
4 Ir 0.500 0.500 0.761

Most intense lines, 2θ from 10° to 90°, in order of rising 2θ:
4.529 Å, I = 36; 2.512 Å, I = 16; 2.420 Å, I = 13; 2.265 Å, I = 27; 2.222 Å, I = 26; 2.197 Å, I = 100; 1.586 Å, I = 18; 1.294 Å, I = 18; 1.278 Å, I = 17; 1.098 Å, I = 11


7.
Diffraction record for Hg3Te. The PXRD pattern is computed, not measured: it uses a DFT-relaxed cell (GGA-PBE, Alexandria) and λ = 1.5418 Å (Cu Kα).
Intensities are scaled so that the largest is 100.

Crystal structure
abc: 6.057 6.057 6.057
angles: 90.00 90.00 90.00
Fractional coordinates of all 8 atoms:
1 Hg 0.000 0.250 0.500
2 Hg 0.000 0.750 0.500
3 Hg 0.250 0.500 0.000
4 Hg 0.500 0.000 0.250
5 Hg 0.500 0.000 0.750
6 Hg 0.750 0.500 0.000
7 Te 0.000 0.000 0.000
8 Te 0.500 0.500 0.500

Most intense lines, 2θ from 10° to 90°, in order of rising 2θ:
3.028 Å, I = 22; 2.709 Å, I = 100; 2.473 Å, I = 51; 1.748 Å, I = 13; 1.680 Å, I = 25; 1.619 Å, I = 28; 1.514 Å, I = 14; 1.322 Å, I = 23; 1.125 Å, I = 21; 1.106 Å, I = 9


8.
Diffraction record for MnBiH. The PXRD pattern is computed, not measured: it uses a DFT-relaxed cell (GGA-PBE, Alexandria) and λ = 1.5418 Å (Cu Kα).
Intensities are scaled so that the largest is 100.

Crystal structure
abc: 4.550 16.106 5.507
angles: 90.00 90.00 90.00
Fractional coordinates of all 24 atoms:
1 Mn 0.250 0.009 0.124
2 Mn 0.250 0.491 0.624
3 Mn 0.250 0.509 0.124
4 Mn 0.250 0.991 0.624
5 Mn 0.750 0.009 0.376
6 Mn 0.750 0.491 0.876
7 Mn 0.750 0.509 0.376
8 Mn 0.750 0.991 0.876
9 Bi 0.124 0.150 0.450
10 Bi 0.124 0.350 0.950
11 Bi 0.376 0.650 0.450
12 Bi 0.376 0.850 0.950
13 Bi 0.624 0.150 0.050
14 Bi 0.624 0.350 0.550
15 Bi 0.876 0.650 0.050
16 Bi 0.876 0.850 0.550
17 H 0.082 0.046 0.859
18 H 0.082 0.454 0.359
19 H 0.418 0.546 0.859
20 H 0.418 0.954 0.359
21 H 0.582 0.046 0.641
22 H 0.582 0.454 0.141
23 H 0.918 0.546 0.641
24 H 0.918 0.954 0.141

Most intense lines, 2θ from 10° to 90°, in order of rising 2θ:
4.546 Å, I = 30; 4.026 Å, I = 32; 3.427 Å, I = 48; 3.216 Å, I = 100; 2.936 Å, I = 88; 2.684 Å, I = 47; 2.645 Å, I = 30; 2.252 Å, I = 34; 1.923 Å, I = 41; 1.745 Å, I = 35


9.
Diffraction record for Na4Ho3VTe8. The PXRD pattern is computed, not measured: it uses a DFT-relaxed cell (GGA-PBE, Alexandria) and λ = 1.5418 Å (Cu Kα).
Intensities are scaled so that the largest is 100.

Crystal structure
abc: 9.085 9.085 9.085
angles: 56.76 56.76 56.76
Fractional coordinates of all 16 atoms:
1 Na 0.000 0.000 0.000
2 Na 0.000 0.500 0.500
3 Na 0.500 0.000 0.500
4 Na 0.500 0.500 0.000
5 Ho 0.000 0.000 0.500
6 Ho 0.000 0.500 0.000
7 Ho 0.500 0.000 0.000
8 V 0.500 0.500 0.500
9 Te 0.245 0.245 0.245
10 Te 0.260 0.731 0.731
11 Te 0.269 0.269 0.740
12 Te 0.269 0.740 0.269
13 Te 0.731 0.260 0.731
14 Te 0.731 0.731 0.260
15 Te 0.740 0.269 0.269
16 Te 0.755 0.755 0.755

Most intense lines, 2θ from 10° to 90°, in order of rising 2θ:
7.594 Å, I = 37; 3.126 Å, I = 100; 2.455 Å, I = 13; 2.266 Å, I = 37; 2.159 Å, I = 35; 1.776 Å, I = 19; 1.563 Å, I = 11; 1.426 Å, I = 14; 1.372 Å, I = 16; 1.266 Å, I = 10


10.
Diffraction record for LaSm3Ho5. The PXRD pattern is computed, not measured: it uses a DFT-relaxed cell (GGA-PBE, Alexandria) and λ = 1.5418 Å (Cu Kα).
Intensities are scaled so that the largest is 100.

Crystal structure
abc: 10.101 10.101 11.280
angles: 111.57 111.57 34.86
Fractional coordinates of all 18 atoms:
1 La 0.132 0.868 0.750
2 La 0.868 0.132 0.250
3 Sm 0.000 0.000 0.000
4 Sm 0.000 0.000 0.500
5 Sm 0.045 0.599 0.637
6 Sm 0.401 0.955 0.863
7 Sm 0.599 0.045 0.137
8 Sm 0.955 0.401 0.363
9 Ho 0.094 0.579 0.302
10 Ho 0.095 0.566 0.970
11 Ho 0.381 0.619 0.250
12 Ho 0.421 0.906 0.198
13 Ho 0.434 0.905 0.530
14 Ho 0.566 0.095 0.470
15 Ho 0.579 0.094 0.802
16 Ho 0.619 0.381 0.750
17 Ho 0.905 0.434 0.030
18 Ho 0.906 0.421 0.698

Most intense lines, 2θ from 10° to 90°, in order of rising 2θ:
3.144 Å, I = 54; 3.026 Å, I = 34; 2.964 Å, I = 100; 2.865 Å, I = 41; 2.817 Å, I = 84; 2.806 Å, I = 90; 2.383 Å, I = 20; 2.118 Å, I = 23; 1.703 Å, I = 30; 1.597 Å, I = 21


11.
Diffraction record for Hg13Pb2. The PXRD pattern is computed, not measured: it uses a DFT-relaxed cell (GGA-PBE, Alexandria) and λ = 1.5418 Å (Cu Kα).
Intensities are scaled so that the largest is 100.

Crystal structure
abc: 8.504 8.504 8.504
angles: 61.85 61.85 61.85
Fractional coordinates of all 15 atoms:
1 Hg 0.000 0.000 0.000
2 Hg 0.118 0.754 0.754
3 Hg 0.153 0.523 0.523
4 Hg 0.246 0.246 0.882
5 Hg 0.246 0.882 0.246
6 Hg 0.477 0.477 0.847
7 Hg 0.477 0.847 0.477
8 Hg 0.523 0.153 0.523
9 Hg 0.523 0.523 0.153
10 Hg 0.754 0.118 0.754
11 Hg 0.754 0.754 0.118
12 Hg 0.847 0.477 0.477
13 Hg 0.882 0.246 0.246
14 Pb 0.262 0.262 0.262
15 Pb 0.738 0.738 0.738

Most intense lines, 2θ from 10° to 90°, in order of rising 2θ:
3.722 Å, I = 74; 3.046 Å, I = 20; 2.735 Å, I = 36; 2.499 Å, I = 100; 2.431 Å, I = 36; 2.368 Å, I = 91; 2.319 Å, I = 23; 1.563 Å, I = 30; 1.457 Å, I = 25; 1.439 Å, I = 23


12.
Diffraction record for Na3Tb3PdO8. The PXRD pattern is computed, not measured: it uses a DFT-relaxed cell (GGA-PBE, Alexandria) and λ = 1.5418 Å (Cu Kα).
Intensities are scaled so that the largest is 100.

Crystal structure
abc: 6.784 6.784 6.784
angles: 59.60 59.60 59.60
Fractional coordinates of all 15 atoms:
1 Na 0.000 0.500 0.500
2 Na 0.500 0.000 0.500
3 Na 0.500 0.500 0.000
4 Tb 0.000 0.000 0.500
5 Tb 0.000 0.500 0.000
6 Tb 0.500 0.000 0.000
7 Pd 0.500 0.500 0.500
8 O 0.237 0.237 0.237
9 O 0.262 0.720 0.720
10 O 0.280 0.280 0.738
11 O 0.280 0.738 0.280
12 O 0.720 0.262 0.720
13 O 0.720 0.720 0.262
14 O 0.738 0.280 0.280
15 O 0.763 0.763 0.763

Most intense lines, 2θ from 10° to 90°, in order of rising 2θ:
5.556 Å, I = 100; 2.876 Å, I = 49; 2.778 Å, I = 18; 2.755 Å, I = 49; 2.391 Å, I = 71; 2.196 Å, I = 19; 1.845 Å, I = 18; 1.696 Å, I = 22; 1.686 Å, I = 23; 1.613 Å, I = 21


13.
Diffraction record for ScCu4Si2. The PXRD pattern is computed, not measured: it uses a DFT-relaxed cell (GGA-PBE, Alexandria) and λ = 1.5418 Å (Cu Kα).
Intensities are scaled so that the largest is 100.

Crystal structure
abc: 7.114 7.114 3.847
angles: 90.00 90.00 90.00
Fractional coordinates of all 14 atoms:
1 Sc 0.000 0.000 0.000
2 Sc 0.500 0.500 0.500
3 Cu 0.092 0.343 0.500
4 Cu 0.157 0.592 0.000
5 Cu 0.343 0.092 0.500
6 Cu 0.408 0.843 0.000
7 Cu 0.592 0.157 0.000
8 Cu 0.657 0.908 0.500
9 Cu 0.843 0.408 0.000
10 Cu 0.908 0.657 0.500
11 Si 0.218 0.782 0.500
12 Si 0.282 0.282 0.000
13 Si 0.718 0.718 0.000
14 Si 0.782 0.218 0.500

Most intense lines, 2θ from 10° to 90°, in order of rising 2θ:
5.030 Å, I = 53; 3.056 Å, I = 25; 2.452 Å, I = 94; 2.250 Å, I = 57; 2.105 Å, I = 100; 1.942 Å, I = 79; 1.923 Å, I = 45; 1.725 Å, I = 29; 1.462 Å, I = 26; 1.334 Å, I = 23